The following is a theoretical powder diffractogram of CsK4In5. It was derived from DFT lattice parameters and positions (GGA-PBE), using Cu Kα (λ = 1.5418 Å).

Most intense lines, 10 to 90 degrees two-theta, by intensity:
h k l, two_theta, I/Imax
2 3 1, 30.8, 100
2 2 0, 20.1, 65
3 2 1, 31.2, 32
0 0 2, 34.5, 32
0 4 0, 28.0, 27
4 0 0, 29.1, 26
0 1 1, 18.4, 26
2 7 1, 55.5, 25
3 0 1, 27.7, 23
2 2 2, 40.3, 22

Crystal structure
```
CsK4In5
1.0
12.2831 0.0000 0.0000
0.0000 12.7562 0.0000
0.0000 0.0000 5.1927
Cs K In
2 8 10
Cartesian
3.0708 3.1891 1.2099 Cs
9.2123 9.5672 3.9828 Cs
0.2802 9.5672 1.3137 K
3.0708 6.9649 1.3081 K
3.0708 12.1694 1.3081 K
5.8613 9.5672 1.3137 K
6.4217 3.1891 3.8790 K
9.2123 0.5868 3.8846 K
9.2123 5.7913 3.8846 K
12.0029 3.1891 3.8790 K
0.5176 6.8957 3.8962 In
0.5176 12.2386 3.8962 In
3.0708 9.5672 3.9082 In
5.6240 6.8957 3.8962 In
5.6240 12.2386 3.8962 In
6.6591 0.5176 1.2965 In
6.6591 5.8605 1.2965 In
9.2123 3.1891 1.2845 In
11.7655 0.5176 1.2965 In
11.7655 5.8605 1.2965 In
```